The following is a simulated powder diffractogram of Zn2Co2Pt. It was derived from a cell relaxed with PBE, using λ = 1.5418 Å (Cu Kα).

```
data_Zn2Co2Pt
_cell_length_a 6.9373
_cell_length_b 6.9373
_cell_length_c 2.7487
_cell_angle_alpha 90.00
_cell_angle_beta 90.00
_cell_angle_gamma 90.00
_symmetry_space_group_name_H-M 'P 4/m b m'
_symmetry_Int_Tables_number 127
_symmetry_space_group_name_Hall '-P 4 2ab'
loop_
_atom_site_label
_atom_site_type_symbol
_atom_site_fract_x
_atom_site_fract_y
_atom_site_fract_z
Zn1 Zn 0.1812 0.3188 0.0000
Co1 Co 0.1141 0.6141 0.5000
Pt1 Pt 0.0000 0.0000 0.5000
```

Main lines, low angle first (2θ from 15° to 90°):
18.08°, I = 37.5, hkl 1 1 0
36.64°, I = 49.4, hkl 2 2 0
37.51°, I = 30.6, hkl 1 1 1
41.15°, I = 100.0, hkl 3 1 0
41.94°, I = 95.3, hkl 2 0 1
44.01°, I = 57.9, hkl 2 1 1
53.44°, I = 35.8, hkl 3 1 1
78.43°, I = 34.1, hkl 5 1 1